LiLa2Pt2O6: theoretical X-ray powder pattern (Cu Kα, 1.54184 Å), based on DFT lattice parameters and positions (GGA-PBE).
Peak positions follow from Bragg's law for the DFT cell and can differ from measured ones.

Lattice parameters (Å, degrees): 6.3058 6.3058 6.3058 55.64 55.64 55.64
Fractional positions:
Li 0.0000 0.0000 0.0000
La 0.2139 0.2139 0.2139
La 0.7861 0.7861 0.7861
Pt 0.4091 0.4091 0.4091
Pt 0.5909 0.5909 0.5909
O 0.1937 0.7646 0.7646
O 0.2354 0.2354 0.8063
O 0.2354 0.8063 0.2354
O 0.7646 0.1937 0.7646
O 0.7646 0.7646 0.1937
O 0.8063 0.2354 0.2354

Principal peaks in the range 2θ = 5–70°, in order of falling intensity:
2theta, Rel. int.
30.37, 100
33.15, 69
18.27, 46
55.75, 38
45.57, 34
46.03, 25
53.97, 20
33.75, 17
63.19, 16
47.54, 12
35.68, 10
60.91, 10



LiLaPu2O8: theoretical X-ray powder pattern (Cu Kα, 1.54184 Å), based on DFT lattice parameters and positions (GGA-PBE).
Peak positions follow from Bragg's law for the DFT cell and can differ from measured ones.

Lattice parameters (Å, degrees): 5.0685 6.9570 5.0784 90.00 93.65 90.00
Fractional positions:
Li 0.0000 0.0000 0.0000
La 0.0000 0.5000 0.0000
Pu 0.5000 0.2404 0.5000
Pu 0.5000 0.7596 0.5000
O 0.2204 0.2346 0.2226
O 0.2204 0.7654 0.2226
O 0.3248 0.0000 0.6765
O 0.3246 0.5000 0.6773
O 0.6752 0.0000 0.3235
O 0.6754 0.5000 0.3227
O 0.7796 0.2346 0.7774
O 0.7796 0.7654 0.7774

Principal peaks in the range 2θ = 5–70°, in order of falling intensity:
2theta, Rel. int.
31.20, 100
17.52, 73
25.65, 62
24.05, 62
35.44, 50
47.02, 44
48.84, 35
21.71, 20
58.67, 15
65.07, 14
56.34, 14
40.86, 13



LiLa2SnO5: theoretical X-ray powder pattern (Cu Kα, 1.54184 Å), based on DFT lattice parameters and positions (GGA-PBE).
Peak positions follow from Bragg's law for the DFT cell and can differ from measured ones.

Lattice parameters (Å, degrees): 6.9380 6.9380 6.2466 90.00 90.00 90.00
Fractional positions:
Li 0.0000 0.0000 0.0000
Li 0.5000 0.5000 0.0000
La 0.1806 0.3194 0.5000
La 0.3194 0.8194 0.5000
La 0.6806 0.1806 0.5000
La 0.8194 0.6806 0.5000
Sn 0.0000 0.5000 0.0000
Sn 0.5000 0.0000 0.0000
O 0.0000 0.0000 0.5000
O 0.1420 0.6420 0.2514
O 0.1420 0.6420 0.7486
O 0.3580 0.1420 0.2514
O 0.3580 0.1420 0.7486
O 0.5000 0.5000 0.5000
O 0.6420 0.8580 0.2514
O 0.6420 0.8580 0.7486
O 0.8580 0.3580 0.2514
O 0.8580 0.3580 0.7486

Principal peaks in the range 2θ = 5–70°, in order of falling intensity:
2theta, Rel. int.
29.45, 100
32.21, 70
18.08, 61
41.00, 57
43.73, 50
14.18, 49
28.58, 40
28.77, 24
36.64, 23
56.65, 23
51.17, 22
47.11, 22



Sr3Li3La5O12: theoretical X-ray powder pattern (Cu Kα, 1.54184 Å), based on DFT lattice parameters and positions (GGA-PBE).
Peak positions follow from Bragg's law for the DFT cell and can differ from measured ones.

Lattice parameters (Å, degrees): 6.9417 3.5888 13.6210 90.00 90.34 90.00
Fractional positions:
Sr 0.0000 0.0000 0.0000
Sr 0.1617 0.5000 0.5481
Sr 0.4810 0.0000 0.0465
Li 0.4504 0.0000 0.6332
Li 0.7020 0.5000 0.9022
Li 0.9562 0.0000 0.3989
La 0.3151 0.0000 0.2946
La 0.3169 0.5000 0.8082
La 0.6569 0.5000 0.4805
La 0.8244 0.5000 0.2230
La 0.8293 0.0000 0.7272
O 0.0349 0.0000 0.1832
O 0.0821 0.5000 0.3682
O 0.2017 0.0000 0.6987
O 0.2650 0.5000 0.9744
O 0.4033 0.0000 0.4904
O 0.4552 0.5000 0.2081
O 0.5667 0.0000 0.8556
O 0.5858 0.5000 0.6581
O 0.7021 0.0000 0.3429
O 0.7553 0.5000 0.0434
O 0.8807 0.0000 0.5415
O 0.9397 0.5000 0.8257

Principal peaks in the range 2θ = 5–70°, in order of falling intensity:
2theta, Rel. int.
28.77, 100
31.78, 47
26.17, 31
28.94, 31
36.62, 25
47.22, 20
50.89, 19
29.14, 18
25.67, 18
26.50, 18
59.57, 17
29.28, 16



Sr2LiLaTaO6: theoretical X-ray powder pattern (Cu Kα, 1.54184 Å), based on DFT lattice parameters and positions (GGA-PBE).
Peak positions follow from Bragg's law for the DFT cell and can differ from measured ones.

Lattice parameters (Å, degrees): 6.8261 6.8261 6.8261 50.62 50.62 50.62
Fractional positions:
Sr 0.0000 0.0000 0.0000
Sr 0.4100 0.4100 0.4100
Li 0.5828 0.5828 0.5828
La 0.2111 0.2111 0.2111
Ta 0.7216 0.7216 0.7216
O 0.4430 0.9421 0.9421
O 0.4842 0.4842 0.9612
O 0.4842 0.9612 0.4842
O 0.9421 0.4430 0.9421
O 0.9421 0.9421 0.4430
O 0.9612 0.4842 0.4842

Principal peaks in the range 2θ = 5–70°, in order of falling intensity:
2theta, Rel. int.
30.64, 100
26.68, 72
20.20, 48
41.07, 41
43.49, 40
14.92, 31
52.10, 24
54.47, 22
63.79, 17
54.64, 16
34.24, 15
63.49, 13



SrLiLaTi3O9: theoretical X-ray powder pattern (Cu Kα, 1.54184 Å), based on DFT lattice parameters and positions (GGA-PBE).
Peak positions follow from Bragg's law for the DFT cell and can differ from measured ones.

Lattice parameters (Å, degrees): 5.5301 5.5301 6.8663 90.00 90.00 120.00
Fractional positions:
Sr 0.0000 0.0000 0.0000
Li 0.3333 0.6667 0.5645
La 0.6667 0.3333 0.3399
Ti 0.0000 0.0000 0.5183
Ti 0.3333 0.6667 0.1640
Ti 0.6667 0.3333 0.8321
O 0.1682 0.3363 0.3620
O 0.1682 0.8318 0.3620
O 0.3357 0.1679 0.6889
O 0.5066 0.0132 0.0397
O 0.5066 0.4934 0.0397
O 0.6637 0.8318 0.3620
O 0.8321 0.1679 0.6889
O 0.8321 0.6643 0.6889
O 0.9868 0.4934 0.0397

Principal peaks in the range 2θ = 5–70°, in order of falling intensity:
2theta, Rel. int.
32.08, 100
32.38, 87
46.22, 80
18.53, 46
57.56, 38
22.64, 34
39.87, 32
12.89, 31
67.78, 22
67.09, 20
56.99, 19
57.75, 16



LiLa2TeO6: theoretical X-ray powder pattern (Cu Kα, 1.54184 Å), based on DFT lattice parameters and positions (GGA-PBE).
Peak positions follow from Bragg's law for the DFT cell and can differ from measured ones.

Lattice parameters (Å, degrees): 5.6989 5.9420 9.8878 90.00 124.34 90.00
Fractional positions:
Li 0.0000 0.0000 0.0000
Li 0.0000 0.5000 0.5000
La 0.2309 0.0581 0.7480
La 0.2309 0.4419 0.2480
La 0.7691 0.5581 0.7520
La 0.7691 0.9419 0.2520
Te 0.5000 0.0000 0.5000
Te 0.5000 0.5000 0.0000
O 0.1551 0.1922 0.4476
O 0.1551 0.3078 0.9476
O 0.2508 0.7113 0.4392
O 0.2508 0.7887 0.9392
O 0.3667 0.0421 0.2579
O 0.3667 0.4579 0.7579
O 0.6333 0.5421 0.2421
O 0.6333 0.9579 0.7421
O 0.7492 0.2113 0.0608
O 0.7492 0.2887 0.5608
O 0.8449 0.6922 0.0524
O 0.8449 0.8078 0.5524

Principal peaks in the range 2θ = 5–70°, in order of falling intensity:
2theta, Rel. int.
30.69, 100
31.03, 98
18.47, 46
31.40, 46
44.04, 41
30.08, 40
19.13, 30
44.39, 28
55.25, 24
55.87, 23
36.53, 22
21.61, 21



Q: Which formula does entry 4 have?
A: Sr3Li3La5O12